(1)
For Ac3Hg4, a DFT-relaxed cell (PBE, OQMD) gives the computed powder diffractogram in this record (a wavelength of 1.5418 Å).
Neutral-atom scattering factors, no anomalous dispersion.

Atomic structure:
Cell lengths 8.981, 8.981, 8.981 Å; angles 113.84, 113.84, 113.84 degrees
Positions (direct):
Ac  0.009  0.270  0.397
Ac  0.270  0.397  0.009
Ac  0.397  0.009  0.270
Ac  0.603  0.991  0.730
Ac  0.730  0.603  0.991
Ac  0.991  0.730  0.603
Hg  0.000  0.000  0.000
Hg  0.082  0.559  0.237
Hg  0.237  0.082  0.559
Hg  0.441  0.763  0.918
Hg  0.500  0.500  0.500
Hg  0.559  0.237  0.082
Hg  0.763  0.918  0.441
Hg  0.918  0.441  0.763

Principal peaks in the range 15° ≤ 2θ ≤ 90°, sorted by position:
| 2θ (°) | d (Å) | I/Imax |
| --- | --- | --- |
| 27.94 | 3.193 | 18 |
| 31.45 | 2.844 | 100 |
| 31.95 | 2.801 | 85 |
| 32.71 | 2.738 | 9 |
| 36.24 | 2.479 | 12 |
| 45.45 | 1.996 | 24 |
| 56.00 | 1.642 | 11 |
| 56.31 | 1.634 | 19 |


(2)
For BeFe2As, a DFT-relaxed cell (PBE, OQMD) gives the computed powder diffractogram in this record (a wavelength of 1.5418 Å).
Neutral-atom scattering factors, no anomalous dispersion.

Atomic structure:
Cell lengths 5.523, 5.523, 5.523 Å; angles 90.00, 90.00, 90.00 degrees
Positions (direct):
Be  0.000  0.000  0.000
Be  0.000  0.000  0.500
Be  0.000  0.500  0.000
Be  0.500  0.000  0.000
Fe  0.246  0.246  0.246
Fe  0.246  0.246  0.754
Fe  0.246  0.754  0.246
Fe  0.246  0.754  0.754
Fe  0.754  0.246  0.246
Fe  0.754  0.246  0.754
Fe  0.754  0.754  0.246
Fe  0.754  0.754  0.754
As  0.000  0.500  0.500
As  0.500  0.000  0.500
As  0.500  0.500  0.000
As  0.500  0.500  0.500

Principal peaks in the range 15° ≤ 2θ ≤ 90°, sorted by position:
| 2θ (°) | d (Å) | I/Imax |
| --- | --- | --- |
| 16.05 | 5.523 | 20 |
| 27.98 | 3.189 | 9 |
| 36.37 | 2.470 | 15 |
| 46.51 | 1.953 | 100 |
| 49.51 | 1.841 | 7 |
| 67.88 | 1.381 | 15 |
| 70.27 | 1.340 | 4 |
| 86.29 | 1.127 | 31 |


(3)
For LaDy2Sn3PdPt2, a DFT-relaxed cell (PBE, OQMD) gives the computed powder diffractogram in this record (a wavelength of 1.5418 Å).
Neutral-atom scattering factors, no anomalous dispersion.

Atomic structure:
Cell lengths 4.081, 7.609, 7.609 Å; angles 120.39, 90.00, 90.00 degrees
Positions (direct):
La  0.000  0.000  0.000
Dy  0.000  0.412  0.821
Dy  0.000  0.821  0.412
Sn  0.500  0.159  0.418
Sn  0.500  0.418  0.159
Sn  0.500  0.665  0.665
Pd  0.000  0.418  0.418
Pt  0.500  0.083  0.742
Pt  0.500  0.742  0.083

Principal peaks in the range 15° ≤ 2θ ≤ 90°, sorted by position:
| 2θ (°) | d (Å) | I/Imax |
| --- | --- | --- |
| 32.17 | 2.783 | 98 |
| 32.27 | 2.774 | 52 |
| 34.96 | 2.567 | 42 |
| 35.09 | 2.557 | 100 |
| 36.07 | 2.490 | 46 |
| 41.27 | 2.188 | 41 |
| 42.52 | 2.126 | 33 |
| 44.40 | 2.040 | 43 |


(4)
For Nd2UN3, a DFT-relaxed cell (PBE, OQMD) gives the computed powder diffractogram in this record (a wavelength of 1.5418 Å).
Neutral-atom scattering factors, no anomalous dispersion.

Atomic structure:
Cell lengths 3.543, 3.543, 8.787 Å; angles 90.00, 90.00, 120.00 degrees
Positions (direct):
Nd  0.333  0.667  0.335
Nd  0.667  0.333  0.665
U  0.000  0.000  0.000
N  0.000  0.000  0.500
N  0.333  0.667  0.864
N  0.667  0.333  0.136

Principal peaks in the range 15° ≤ 2θ ≤ 90°, sorted by position:
| 2θ (°) | d (Å) | I/Imax |
| --- | --- | --- |
| 30.52 | 2.929 | 34 |
| 30.86 | 2.897 | 100 |
| 35.69 | 2.516 | 92 |
| 51.14 | 1.786 | 33 |
| 51.59 | 1.772 | 32 |
| 60.73 | 1.525 | 16 |
| 61.13 | 1.516 | 30 |
| 64.31 | 1.449 | 16 |


(5)
For GeMoW, a DFT-relaxed cell (PBE, OQMD) gives the computed powder diffractogram in this record (a wavelength of 1.5418 Å).
Neutral-atom scattering factors, no anomalous dispersion.

Atomic structure:
Cell lengths 4.294, 4.294, 4.294 Å; angles 60.00, 60.00, 60.00 degrees
Positions (direct):
Ge  0.000  0.000  0.000
Mo  0.500  0.500  0.500
W  0.250  0.250  0.250

Principal peaks in the range 15° ≤ 2θ ≤ 90°, sorted by position:
| 2θ (°) | d (Å) | I/Imax |
| --- | --- | --- |
| 25.40 | 3.506 | 67 |
| 42.08 | 2.147 | 100 |
| 49.80 | 1.831 | 33 |
| 61.03 | 1.518 | 17 |
| 67.19 | 1.393 | 14 |
| 76.90 | 1.240 | 34 |
| 82.54 | 1.169 | 10 |


(6)
For Ac2U3Al3, a DFT-relaxed cell (PBE, OQMD) gives the computed powder diffractogram in this record (a wavelength of 1.5418 Å).
Neutral-atom scattering factors, no anomalous dispersion.

Atomic structure:
Cell lengths 3.883, 3.883, 16.779 Å; angles 90.00, 90.00, 90.00 degrees
Positions (direct):
Ac  0.000  0.500  0.167
Ac  0.500  0.000  0.833
U  0.000  0.000  0.349
U  0.000  0.000  0.500
U  0.000  0.000  0.651
Al  0.000  0.000  0.000
Al  0.500  0.500  0.000
Al  0.500  0.500  0.500

Principal peaks in the range 15° ≤ 2θ ≤ 90°, sorted by position:
| 2θ (°) | d (Å) | I/Imax |
| --- | --- | --- |
| 22.90 | 3.883 | 63 |
| 23.52 | 3.783 | 100 |
| 25.28 | 3.524 | 35 |
| 32.00 | 2.796 | 41 |
| 33.06 | 2.709 | 56 |
| 36.46 | 2.465 | 42 |
| 46.79 | 1.941 | 33 |
| 57.82 | 1.595 | 31 |


(7)
For Ta24Al5, a DFT-relaxed cell (PBE, OQMD) gives the computed powder diffractogram in this record (a wavelength of 1.5418 Å).
Neutral-atom scattering factors, no anomalous dispersion.

Atomic structure:
Cell lengths 8.896, 8.896, 8.896 Å; angles 109.47, 109.47, 109.47 degrees
Positions (direct):
Ta  0.000  0.188  0.370
Ta  0.000  0.370  0.188
Ta  0.000  0.393  0.679
Ta  0.000  0.679  0.393
Ta  0.182  0.812  0.812
Ta  0.188  0.000  0.370
Ta  0.188  0.370  0.000
Ta  0.286  0.607  0.607
Ta  0.321  0.321  0.714
Ta  0.321  0.714  0.321
Ta  0.370  0.000  0.188
Ta  0.370  0.188  0.000
Ta  0.393  0.000  0.679
Ta  0.393  0.679  0.000
Ta  0.607  0.286  0.607
Ta  0.607  0.607  0.286
Ta  0.630  0.630  0.818
Ta  0.630  0.818  0.630
Ta  0.679  0.000  0.393
Ta  0.679  0.393  0.000
Ta  0.714  0.321  0.321
Ta  0.812  0.182  0.812
Ta  0.812  0.812  0.182
Ta  0.818  0.630  0.630
Al  0.000  0.000  0.000
Al  0.000  0.000  0.631
Al  0.000  0.631  0.000
Al  0.369  0.369  0.369
Al  0.631  0.000  0.000

Principal peaks in the range 15° ≤ 2θ ≤ 90°, sorted by position:
| 2θ (°) | d (Å) | I/Imax |
| --- | --- | --- |
| 21.19 | 4.194 | 21 |
| 37.13 | 2.421 | 100 |
| 41.22 | 2.190 | 42 |
| 45.00 | 2.015 | 42 |
| 66.94 | 1.398 | 33 |
| 68.33 | 1.373 | 13 |
| 79.11 | 1.211 | 14 |
| 88.21 | 1.108 | 11 |


(8)
For DyEr4Lu2Te2Pd2, a DFT-relaxed cell (PBE, OQMD) gives the computed powder diffractogram in this record (a wavelength of 1.5418 Å).
Neutral-atom scattering factors, no anomalous dispersion.

Atomic structure:
Cell lengths 9.327, 9.327, 9.327 Å; angles 155.77, 67.07, 118.54 degrees
Positions (direct):
Dy  0.000  0.000  0.000
Er  0.057  0.374  0.683
Er  0.093  0.736  0.356
Er  0.380  0.736  0.644
Er  0.691  0.374  0.317
Lu  0.453  0.584  0.869
Lu  0.715  0.584  0.131
Te  0.342  0.342  0.000
Te  0.732  0.232  0.500
Pd  0.308  0.070  0.238
Pd  0.832  0.070  0.762

Principal peaks in the range 15° ≤ 2θ ≤ 90°, sorted by position:
| 2θ (°) | d (Å) | I/Imax |
| --- | --- | --- |
| 30.09 | 2.970 | 48 |
| 33.07 | 2.709 | 61 |
| 33.83 | 2.650 | 100 |
| 34.32 | 2.613 | 50 |
| 36.42 | 2.467 | 20 |
| 46.38 | 1.958 | 28 |
| 51.02 | 1.790 | 20 |
| 58.13 | 1.587 | 29 |


(9)
For Dy2Ho5Hg, a DFT-relaxed cell (PBE, OQMD) gives the computed powder diffractogram in this record (a wavelength of 1.5418 Å).
Neutral-atom scattering factors, no anomalous dispersion.

Atomic structure:
Cell lengths 5.520, 7.026, 7.026 Å; angles 59.98, 90.00, 90.00 degrees
Positions (direct):
Dy  0.000  0.000  0.000
Dy  0.500  0.341  0.341
Ho  0.000  0.000  0.509
Ho  0.000  0.504  0.504
Ho  0.000  0.509  0.000
Ho  0.500  0.342  0.828
Ho  0.500  0.828  0.342
Hg  0.500  0.836  0.836

Principal peaks in the range 15° ≤ 2θ ≤ 90°, sorted by position:
| 2θ (°) | d (Å) | I/Imax |
| --- | --- | --- |
| 29.36 | 3.042 | 24 |
| 32.44 | 2.760 | 25 |
| 33.64 | 2.664 | 100 |
| 44.31 | 2.044 | 16 |
| 52.07 | 1.756 | 19 |
| 58.63 | 1.574 | 21 |
| 62.70 | 1.482 | 22 |
| 63.43 | 1.466 | 16 |


(10)
For NdBCl6, a DFT-relaxed cell (PBE, OQMD) gives the computed powder diffractogram in this record (a wavelength of 1.5418 Å).
Neutral-atom scattering factors, no anomalous dispersion.

Atomic structure:
Cell lengths 8.598, 8.598, 3.247 Å; angles 90.00, 90.00, 120.00 degrees
Positions (direct):
Nd  0.000  0.000  0.000
B  0.333  0.667  0.500
Cl  0.130  0.647  0.000
Cl  0.287  0.093  0.500
Cl  0.353  0.484  0.000
Cl  0.516  0.870  0.000
Cl  0.807  0.713  0.500
Cl  0.907  0.193  0.500

Principal peaks in the range 15° ≤ 2θ ≤ 90°, sorted by position:
| 2θ (°) | d (Å) | I/Imax |
| --- | --- | --- |
| 20.66 | 4.299 | 55 |
| 23.90 | 3.723 | 54 |
| 31.80 | 2.814 | 99 |
| 34.62 | 2.591 | 75 |
| 36.73 | 2.447 | 100 |
| 42.51 | 2.127 | 83 |
| 43.84 | 2.065 | 39 |
| 52.52 | 1.743 | 41 |


(11)
For Hf3Sn4Au4, a DFT-relaxed cell (PBE, OQMD) gives the computed powder diffractogram in this record (a wavelength of 1.5418 Å).
Neutral-atom scattering factors, no anomalous dispersion.

Atomic structure:
Cell lengths 7.884, 7.884, 7.884 Å; angles 131.72, 131.72, 70.68 degrees
Positions (direct):
Hf  0.000  0.000  0.000
Hf  0.250  0.750  0.500
Hf  0.750  0.250  0.500
Sn  0.000  0.500  0.500
Sn  0.266  0.266  0.000
Sn  0.500  0.000  0.500
Sn  0.734  0.734  0.000
Au  0.111  0.634  0.000
Au  0.366  0.366  0.477
Au  0.634  0.111  0.000
Au  0.889  0.889  0.523

Principal peaks in the range 15° ≤ 2θ ≤ 90°, sorted by position:
| 2θ (°) | d (Å) | I/Imax |
| --- | --- | --- |
| 15.37 | 5.765 | 8 |
| 23.92 | 3.720 | 47 |
| 39.56 | 2.278 | 100 |
| 46.76 | 1.943 | 24 |
| 57.13 | 1.612 | 11 |
| 62.87 | 1.478 | 10 |
| 71.73 | 1.316 | 23 |
| 71.84 | 1.314 | 11 |


(12)
For CsOsBr6, a DFT-relaxed cell (PBE, OQMD) gives the computed powder diffractogram in this record (a wavelength of 1.5418 Å).
Neutral-atom scattering factors, no anomalous dispersion.

Atomic structure:
Cell lengths 7.766, 7.766, 7.766 Å; angles 56.01, 56.01, 56.01 degrees
Positions (direct):
Cs  0.000  0.000  0.000
Os  0.500  0.500  0.500
Br  0.106  0.587  0.587
Br  0.413  0.413  0.894
Br  0.413  0.894  0.413
Br  0.587  0.106  0.587
Br  0.587  0.587  0.106
Br  0.894  0.413  0.413

Principal peaks in the range 15° ≤ 2θ ≤ 90°, sorted by position:
| 2θ (°) | d (Å) | I/Imax |
| --- | --- | --- |
| 16.70 | 5.307 | 93 |
| 22.99 | 3.869 | 100 |
| 28.63 | 3.118 | 42 |
| 29.72 | 3.006 | 78 |
| 36.55 | 2.458 | 51 |
| 36.97 | 2.432 | 74 |
| 42.11 | 2.146 | 51 |
| 50.02 | 1.823 | 45 |